No. 1
# La3BCCl3
Calculated powder diffractogram, Cu Ka. Input: a structure optimized by DFT (GGA-PBE).

Principal peaks in the range 10° ≤ 2θ ≤ 80°, by angle:
index	two_theta	Rel. int.
2 0 0	21.65	36
2 0 -2	24.37	49
1 1 1	27.82	37
1 0 3	28.12	51
0 1 2	28.55	100
0 0 4	32.05	45
2 1 0	32.23	81
2 1 -2	34.18	86
3 0 1	35.25	74
3 1 -1	40.31	35

Atomic structure:
a b c (Å): 8.3533 3.7727 11.3718
angles (deg): 90.00 100.84 90.00
Fractional positions:
1 La 0.1071 0.2500 0.3132
2 La 0.2138 0.2500 0.8975
3 La 0.2917 0.7500 0.6117
4 La 0.7083 0.2500 0.3883
5 La 0.7862 0.7500 0.1025
6 La 0.8929 0.7500 0.6868
7 B 0.0348 0.2500 0.5414
8 B 0.9652 0.7500 0.4586
9 C 0.1067 0.2500 0.6811
10 C 0.8933 0.7500 0.3189
11 Cl 0.1439 0.7500 0.0951
12 Cl 0.4059 0.7500 0.3759
13 Cl 0.4678 0.7500 0.8640
14 Cl 0.5322 0.2500 0.1360
15 Cl 0.5941 0.2500 0.6241
16 Cl 0.8561 0.2500 0.9049

***

No. 2
# Gd3AlN
Calculated powder diffractogram, Cu Ka. Input: a structure optimized by DFT (GGA-PBE).

Principal peaks in the range 10° ≤ 2θ ≤ 80°, by angle:
index	two_theta	Rel. int.
1 0 0	16.17	39
1 1 0	22.94	15
1 1 1	28.19	100
2 0 0	32.67	64
2 1 0	36.66	21
2 2 0	46.88	47
3 1 1	55.60	45
2 2 2	58.31	16
3 3 1	75.61	18
4 2 0	77.94	21

Atomic structure:
a b c (Å): 5.4820 5.4820 5.4820
angles (deg): 90.00 90.00 90.00
Fractional positions:
1 Gd 0.0000 0.0000 0.5000
2 Gd 0.0000 0.5000 0.0000
3 Gd 0.5000 0.0000 0.0000
4 Al 0.0000 0.0000 0.0000
5 N 0.5000 0.5000 0.5000

***

No. 3
# Ga5CuTe8
Calculated powder diffractogram, Cu Ka. Input: a structure optimized by DFT (GGA-PBE).

Principal peaks in the range 10° ≤ 2θ ≤ 80°, by angle:
index	two_theta	Rel. int.
1 1 2	25.71	100
2 0 0	29.90	8
2 1 1	34.36	6
2 0 4	42.51	42
2 2 0	42.79	21
1 1 6	50.10	14
3 1 2	50.59	28
4 0 0	62.12	6
3 1 6	67.96	10
4 2 4	78.18	12

Atomic structure:
a b c (Å): 5.9769 5.9769 12.1068
angles (deg): 90.00 90.00 90.00
Fractional positions:
1 Ga 0.0000 0.0000 0.0000
2 Ga 0.0000 0.5000 0.2543
3 Ga 0.0000 0.5000 0.7457
4 Ga 0.5000 0.0000 0.2543
5 Ga 0.5000 0.0000 0.7457
6 Cu 0.5000 0.5000 0.5000
7 Te 0.2370 0.2370 0.6139
8 Te 0.2370 0.7630 0.3861
9 Te 0.2714 0.2714 0.1137
10 Te 0.2714 0.7286 0.8863
11 Te 0.7286 0.2714 0.8863
12 Te 0.7286 0.7286 0.1137
13 Te 0.7630 0.2370 0.3861
14 Te 0.7630 0.7630 0.6139